# 1
TbNpTl2S4: computed X-ray diffraction stick pattern (CuKα), based on DFT lattice parameters and positions (PBE).
No peak broadening, texture or thermal motion is included.

Atomic structure:
Cell lengths 7.037, 4.065, 7.875 Å; angles 90.00, 107.40, 90.00 degrees
Element x y z (fractional)
Tb: 0.000 0.000 0.000
Np: 0.500 0.500 0.000
Tl: 0.000 0.500 0.500
Tl: 0.500 0.000 0.500
S: 0.232 0.500 0.198
S: 0.269 0.000 0.804
S: 0.731 0.000 0.196
S: 0.768 0.500 0.802

Principal peaks in the range 10° ≤ 2θ ≤ 90°, most intense first:
2θ 29.9, intensity 100.0
2θ 26.5, intensity 69.2
2θ 41.0, intensity 39.3
2θ 44.6, intensity 34.4
2θ 23.7, intensity 32.8
2θ 51.1, intensity 26.7
2θ 54.6, intensity 18.4
2θ 47.9, intensity 18.1
2θ 62.2, intensity 11.6
2θ 79.7, intensity 11.6


# 2
Dy2Si4Os3: computed X-ray diffraction stick pattern (CuKα), based on DFT lattice parameters and positions (PBE).
No peak broadening, texture or thermal motion is included.

Atomic structure:
Cell lengths 7.881, 7.881, 7.001 Å; angles 90.00, 90.00, 137.12 degrees
Element x y z (fractional)
Dy: 0.111 0.889 0.907
Dy: 0.389 0.611 0.407
Dy: 0.611 0.389 0.593
Dy: 0.889 0.111 0.093
Si: 0.178 0.822 0.521
Si: 0.189 0.311 0.750
Si: 0.311 0.189 0.250
Si: 0.322 0.678 0.021
Si: 0.678 0.322 0.979
Si: 0.689 0.811 0.750
Si: 0.811 0.689 0.250
Si: 0.822 0.178 0.479
Os: 0.000 0.000 0.500
Os: 0.023 0.477 0.750
Os: 0.477 0.023 0.250
Os: 0.500 0.500 0.000
Os: 0.523 0.977 0.750
Os: 0.977 0.523 0.250

Principal peaks in the range 10° ≤ 2θ ≤ 90°, most intense first:
2θ 40.6, intensity 100.0
2θ 36.7, intensity 75.3
2θ 28.2, intensity 73.0
2θ 33.4, intensity 54.5
2θ 27.1, intensity 45.9
2θ 35.9, intensity 34.4
2θ 39.0, intensity 28.8
2θ 39.8, intensity 24.2
2θ 35.2, intensity 23.4
2θ 64.7, intensity 23.2


# 3
Sm3Ho6Tm2Tl: computed X-ray diffraction stick pattern (CuKα), based on DFT lattice parameters and positions (PBE).
No peak broadening, texture or thermal motion is included.

Atomic structure:
Cell lengths 6.115, 6.115, 11.580 Å; angles 95.08, 95.08, 120.02 degrees
Element x y z (fractional)
Sm: 0.000 0.000 0.000
Sm: 0.333 0.667 0.000
Sm: 0.667 0.333 0.000
Ho: 0.090 0.420 0.256
Ho: 0.251 0.251 0.745
Ho: 0.420 0.090 0.256
Ho: 0.580 0.910 0.744
Ho: 0.749 0.749 0.255
Ho: 0.910 0.580 0.744
Tm: 0.166 0.834 0.500
Tm: 0.834 0.166 0.500
Tl: 0.500 0.500 0.500

Principal peaks in the range 10° ≤ 2θ ≤ 90°, most intense first:
2θ 31.1, intensity 100.0
2θ 36.1, intensity 66.7
2θ 31.4, intensity 32.2
2θ 51.8, intensity 24.1
2θ 52.2, intensity 23.1
2θ 61.8, intensity 18.7
2θ 61.6, intensity 14.3
2θ 62.2, intensity 13.5
2θ 64.8, intensity 12.3
2θ 84.6, intensity 11.9